KAgRu: simulated powder diffractogram (Cu Kα, 1.54184 Å), based on a cell relaxed with PBE.
Peak positions follow from Bragg's law for the DFT cell and can differ from measured ones.

Structure:
```
KAgRu
1.0
-1.3487 2.2851 5.8299
1.3487 -2.2851 5.8299
1.3487 2.2851 -5.8299
K Ag Ru
1 1 1
Cartesian
0.0000 0.0000 0.0000
0.0000 0.0000 3.2658
0.0000 0.0000 8.3967
```

The 8 most intense peaks (10 to 90 degrees two-theta), in order of falling intensity:
2θ (°), d [Å], I/Imax
15.2, 5.830, 100
38.8, 2.323, 50
30.2, 2.961, 38
41.9, 2.158, 32
30.7, 2.915, 29
50.2, 1.817, 27
39.4, 2.285, 24
40.7, 2.216, 16